No. 1
The following is a computed XRD peak list of Ag9Pt2Au. It was derived from DFT lattice parameters and positions (GGA-PBE), using CuKα.

Most intense lines, 10° ≤ 2θ ≤ 80°, low angle first:
| two_theta | d_spacing | Rel. int. |
| --- | --- | --- |
| 13.75 | 6.438 | 13.0 |
| 37.63 | 2.390 | 52.2 |
| 37.90 | 2.374 | 100.0 |
| 38.08 | 2.363 | 49.4 |
| 44.02 | 2.057 | 97.5 |
| 63.75 | 1.460 | 10.5 |
| 64.31 | 1.449 | 20.3 |
| 76.65 | 1.243 | 12.2 |
| 76.86 | 1.240 | 12.1 |
| 77.09 | 1.237 | 24.0 |

Atomic structure:
```
12
Lattice="5.029 0.000 0.000 0.869 6.451 0.000 0.842 0.616 6.440" Properties=species:S:1:pos:R:3 pbc="T T T"
Ag 0.000 0.000 0.000
Ag 0.890 4.537 2.148
Ag 2.534 4.347 5.879
Ag 1.690 1.747 1.629
Ag 3.326 1.575 5.341
Ag 3.414 5.493 1.099
Ag 5.051 5.321 4.811
Ag 4.207 2.721 0.561
Ag 5.850 2.531 4.292
Pt 2.539 6.276 3.737
Pt 4.202 0.792 2.702
Au 3.370 3.534 3.220
```



No. 2
The following is a computed XRD peak list of Ag2PtAu9. It was derived from DFT lattice parameters and positions (GGA-PBE), using CuKα.

Most intense lines, 10° ≤ 2θ ≤ 80°, low angle first:
| two_theta | d_spacing | Rel. int. |
| --- | --- | --- |
| 21.42 | 4.149 | 1.2 |
| 30.59 | 2.923 | 1.1 |
| 37.64 | 2.389 | 100.0 |
| 43.63 | 2.075 | 33.2 |
| 43.98 | 2.059 | 16.1 |
| 49.14 | 1.854 | 0.7 |
| 63.41 | 1.467 | 11.0 |
| 63.68 | 1.461 | 21.6 |
| 76.14 | 1.250 | 26.3 |
| 76.64 | 1.243 | 12.8 |

Atomic structure:
```
12
Lattice="4.149 0.000 0.000 0.000 4.149 0.000 0.000 0.000 12.354" Properties=species:S:1:pos:R:3 pbc="T T T"
Ag 0.000 0.000 2.086
Ag 0.000 0.000 10.267
Pt 0.000 0.000 6.177
Au 0.000 2.075 0.000
Au 0.000 2.075 4.154
Au 0.000 2.075 8.200
Au 2.075 0.000 0.000
Au 2.075 0.000 4.154
Au 2.075 0.000 8.200
Au 2.075 2.075 2.078
Au 2.075 2.075 6.177
Au 2.075 2.075 10.275
```



No. 3
The following is a computed XRD peak list of Ag7Pt6Au16. It was derived from DFT lattice parameters and positions (GGA-PBE), using CuKα.

Most intense lines, 10° ≤ 2θ ≤ 80°, low angle first:
| two_theta | d_spacing | Rel. int. |
| --- | --- | --- |
| 27.46 | 3.248 | 27.9 |
| 33.80 | 2.652 | 21.3 |
| 35.92 | 2.500 | 76.9 |
| 39.23 | 2.297 | 100.0 |
| 41.10 | 2.196 | 28.1 |
| 41.71 | 2.165 | 38.9 |
| 48.55 | 1.875 | 19.1 |
| 56.68 | 1.624 | 18.9 |
| 60.47 | 1.531 | 16.2 |
| 72.37 | 1.306 | 33.0 |

Atomic structure:
```
29
Lattice="0.000 6.496 6.496 6.496 0.000 6.496 6.496 6.496 0.000" Properties=species:S:1:pos:R:3 pbc="T T T"
Ag 0.000 0.000 0.000
Ag 3.248 3.248 0.000
Ag 3.248 0.000 3.248
Ag 6.496 3.248 3.248
Ag 0.000 3.248 3.248
Ag 3.248 6.496 3.248
Ag 3.248 3.248 6.496
Pt 6.496 6.496 4.446
Pt 6.496 4.446 6.496
Pt 8.545 6.496 6.496
Pt 4.446 6.496 6.496
Pt 6.496 8.545 6.496
Pt 6.496 6.496 8.545
Au 8.492 4.499 4.499
Au 1.572 1.572 1.572
Au 4.923 4.923 1.572
Au 4.923 1.572 4.923
Au 4.499 4.499 4.499
Au 8.492 8.492 4.499
Au 8.492 4.499 8.492
Au 11.419 8.068 8.068
Au 1.572 4.923 4.923
Au 4.499 8.492 4.499
Au 4.499 4.499 8.492
Au 8.492 8.492 8.492
Au 8.068 11.419 8.068
Au 8.068 8.068 11.419
Au 11.419 11.419 11.419
Au 4.499 8.492 8.492
```



No. 4
The following is a computed XRD peak list of Ag4Pt3Au2. It was derived from DFT lattice parameters and positions (GGA-PBE), using CuKα.

Most intense lines, 10° ≤ 2θ ≤ 80°, low angle first:
| two_theta | d_spacing | Rel. int. |
| --- | --- | --- |
| 13.79 | 6.423 | 40.8 |
| 36.98 | 2.431 | 83.8 |
| 37.89 | 2.374 | 43.5 |
| 38.84 | 2.319 | 65.4 |
| 39.70 | 2.270 | 27.2 |
| 40.13 | 2.247 | 25.1 |
| 41.40 | 2.181 | 100.0 |
| 70.32 | 1.339 | 23.4 |
| 71.46 | 1.320 | 28.6 |
| 72.03 | 1.311 | 23.9 |

Atomic structure:
```
18
Lattice="0.000 4.637 12.846 2.678 0.000 12.846 2.678 4.637 0.000" Properties=species:S:1:pos:R:3 pbc="T T T"
Ag 2.991 4.387 5.600
Ag 4.330 4.887 12.022
Ag 2.991 2.568 13.669
Ag 1.026 2.568 5.600
Ag 4.330 6.706 20.092
Ag 2.365 6.706 12.022
Ag 1.026 4.387 13.669
Ag 2.365 4.887 20.092
Pt 2.008 3.478 2.969
Pt 0.669 1.159 3.211
Pt 3.347 5.796 9.392
Pt 2.008 3.478 16.300
Pt 4.686 8.115 22.480
Pt 3.347 5.796 22.723
Au 2.008 3.478 8.203
Au 2.008 3.478 11.065
Au 3.347 5.796 14.626
Au 3.347 5.796 17.488
```